This entry pairs a crystal structure of Tb2ZnSi2Ru5 with its calculated X-ray powder pattern. Radiation: Cu Kα. Structure: a structure optimized by DFT (GGA-PBE).
No peak broadening, texture or thermal motion is included.

Largest 6 diffraction maxima, low angle first, 10° ≤ 2θ ≤ 80°:
- 2θ 33.97, intensity 61
- 2θ 37.34, intensity 75
- 2θ 38.47, intensity 26
- 2θ 39.73, intensity 100
- 2θ 42.88, intensity 28
- 2θ 69.30, intensity 24

```
Tb2ZnSi2Ru5
1.0
9.928 0.000 0.000
0.000 9.928 0.000
0.000 0.000 3.281
Tb Zn Si Ru
4 2 4 10
Cartesian
1.713 3.251 0.000
3.251 8.215 0.000
6.678 1.713 0.000
8.215 6.678 0.000
0.000 0.000 0.000
4.964 4.964 0.000
1.274 6.239 0.000
3.690 1.274 0.000
6.239 8.654 0.000
8.654 3.690 0.000
0.000 4.964 1.641
0.680 7.869 1.641
2.060 0.680 1.641
2.904 5.644 1.641
4.285 2.904 1.641
4.964 0.000 1.641
5.644 7.024 1.641
7.024 4.285 1.641
7.869 9.249 1.641
9.249 2.060 1.641
```

This entry pairs a crystal structure of Pm3Pr2Y3 with its calculated X-ray powder pattern. Radiation: Cu Kα. Structure: a structure optimized by DFT (GGA-PBE).
No peak broadening, texture or thermal motion is included.

Largest 6 diffraction maxima, low angle first, 10° ≤ 2θ ≤ 80°:
- 2θ 30.09, intensity 100
- 2θ 34.84, intensity 34
- 2θ 34.99, intensity 17
- 2θ 50.14, intensity 24
- 2θ 59.55, intensity 28
- 2θ 59.75, intensity 14

```
Pm3Pr2Y3
1.0
-2.574 2.577 10.258
2.574 -2.577 10.258
2.574 2.577 -10.258
Pm Pr Y
3 2 3
Cartesian
0.000 0.000 0.000
2.574 0.000 7.731
0.000 2.577 2.526
0.000 0.000 5.128
0.000 0.000 15.387
2.574 0.000 2.539
0.000 0.000 10.258
0.000 2.577 7.719
```